Record 1
Calculated X-ray diffraction stick pattern of BaSn7Hg12 for CuKα, from a GGA-PBE-relaxed structure.
Neutral-atom scattering factors, no anomalous dispersion.

Most intense lines, 2θ from 10° to 90°, most intense first:
25.92 deg, rel. 1000; 40.66 deg, rel. 689; 30.78 deg, rel. 592; 36.98 deg, rel. 476; 32.96 deg, rel. 474; 51.85 deg, rel. 354; 64.11 deg, rel. 347; 38.86 deg, rel. 335; 11.51 deg, rel. 314; 48.85 deg, rel. 290; 28.44 deg, rel. 282; 62.82 deg, rel. 223

Structure:
Lattice parameters (Å, degrees): 9.4139 9.4139 9.4139 109.47 109.47 109.47
Sites, in units of the cell vectors:
1 Ba 0.0000 0.0000 0.0000
2 Sn 0.0000 0.0000 0.5000
3 Sn 0.0000 0.5000 0.0000
4 Sn 0.0000 0.5000 0.5000
5 Sn 0.5000 0.0000 0.0000
6 Sn 0.5000 0.0000 0.5000
7 Sn 0.5000 0.5000 0.0000
8 Sn 0.5000 0.5000 0.5000
9 Hg 0.1201 0.7837 0.3364
10 Hg 0.2163 0.3364 0.5528
11 Hg 0.2163 0.6636 0.8799
12 Hg 0.3364 0.1201 0.7837
13 Hg 0.3364 0.5528 0.2163
14 Hg 0.4472 0.7837 0.6636
15 Hg 0.5528 0.2163 0.3364
16 Hg 0.6636 0.4472 0.7837
17 Hg 0.6636 0.8799 0.2163
18 Hg 0.7837 0.3364 0.1201
19 Hg 0.7837 0.6636 0.4472
20 Hg 0.8799 0.2163 0.6636

---

Record 2
Calculated X-ray diffraction stick pattern of Ba3Sn2Hg9 for CuKα, from a GGA-PBE-relaxed structure.
Neutral-atom scattering factors, no anomalous dispersion.

Most intense lines, 2θ from 10° to 90°, most intense first:
33.18 deg, rel. 1000; 29.80 deg, rel. 969; 39.27 deg, rel. 623; 29.06 deg, rel. 610; 31.48 deg, rel. 586; 29.68 deg, rel. 552; 33.58 deg, rel. 548; 40.09 deg, rel. 456; 58.04 deg, rel. 450; 34.59 deg, rel. 445; 48.69 deg, rel. 422; 44.68 deg, rel. 383

Structure:
Lattice parameters (Å, degrees): 9.6395 9.6395 9.6395 147.46 117.34 72.40
Sites, in units of the cell vectors:
1 Ba 0.0000 0.0000 0.0000
2 Ba 0.2851 0.2851 0.0000
3 Ba 0.7149 0.7149 0.0000
4 Sn 0.3371 0.5000 0.8371
5 Sn 0.6629 0.5000 0.1629
6 Hg 0.0056 0.6507 0.3549
7 Hg 0.1452 0.8540 0.2911
8 Hg 0.2958 0.6507 0.6451
9 Hg 0.4371 0.1460 0.2911
10 Hg 0.5000 0.0000 0.5000
11 Hg 0.5629 0.8540 0.7089
12 Hg 0.7042 0.3493 0.3549
13 Hg 0.8548 0.1460 0.7089
14 Hg 0.9944 0.3493 0.6451

---

Record 3
Calculated X-ray diffraction stick pattern of BaSn3Hg for CuKα, from a GGA-PBE-relaxed structure.
Neutral-atom scattering factors, no anomalous dispersion.

Most intense lines, 2θ from 10° to 90°, most intense first:
33.60 deg, rel. 1000; 28.57 deg, rel. 863; 29.28 deg, rel. 821; 40.22 deg, rel. 479; 45.14 deg, rel. 383; 44.00 deg, rel. 234; 23.59 deg, rel. 222; 18.44 deg, rel. 201; 77.20 deg, rel. 190; 57.02 deg, rel. 188; 64.55 deg, rel. 187; 48.20 deg, rel. 184

Structure:
Lattice parameters (Å, degrees): 7.5347 7.5522 6.7256 90.00 123.98 90.00
Sites, in units of the cell vectors:
1 Ba 0.0000 0.0000 0.0000
2 Ba 0.5000 0.5000 0.0000
3 Sn 0.0013 0.2501 0.5028
4 Sn 0.0013 0.7499 0.5028
5 Sn 0.1256 0.5000 0.2506
6 Sn 0.5013 0.2499 0.5028
7 Sn 0.5013 0.7501 0.5028
8 Sn 0.6256 0.0000 0.2506
9 Hg 0.3695 0.0000 0.7414
10 Hg 0.8695 0.5000 0.7414